Structure and calculated XRD peak list of RbCoBr3O6 (a crystal structure in the Materials Project, relaxed with GGA+U; Cu Kα (λ = 1.5418 Å)).
No peak broadening, texture or thermal motion is included.

Peak list (6 most intense, 10° ≤ 2θ ≤ 90°, by intensity)
2θ/deg	intensity	hkl
30.46	100	0 2 4
18.89	95	1 1 -2
12.79	79	0 0 2
20.54	77	0 2 2
33.37	73	2 2 -2
33.28	65	1 1 4

a = 6.3104 Å, b = 11.0721 Å, c = 14.1726 Å
α = 90.00°, β = 102.34°, γ = 90.00°
Space group C2/c (No. 15)
Symmetry-distinct sites (fractional):
Rb  0.0000  0.1401  0.2500 [4 per cell]
Co  0.2500  0.2500  0.0000 [4 per cell]
Br  0.0925  0.4641  0.1258 [8 per cell]
Br  0.2500  0.2500  0.5000 [4 per cell]
O  0.0387  0.2049  0.0668 [8 per cell]
O  0.0547  0.2885  0.8966 [8 per cell]
O  0.2269  0.0881  0.9484 [8 per cell]